Computed X-ray diffraction stick pattern
Compound: K4Ru2Cl10O
Radiation: Cu Kα (λ = 1.5418 Å)
Structure: a cell relaxed with PBE
Lines closer than 0.1° are merged.

Cell and atoms:
```
data_K4Ru2Cl10O
_symmetry_space_group_name_H-M 'I 4/m m m'
_symmetry_Int_Tables_number 139
_symmetry_space_group_name_Hall '-I 4 2'
_cell_length_a 7.310
_cell_length_b 7.310
_cell_length_c 17.346
_cell_angle_alpha 90.00
_cell_angle_beta 90.00
_cell_angle_gamma 90.00
loop_
_atom_site_label
_atom_site_fract_x
_atom_site_fract_y
_atom_site_fract_z
K1 0.000 0.500 0.000
K2 0.000 0.500 0.250
Ru1 0.000 0.000 0.104
Cl1 0.000 0.000 0.239
Cl2 0.232 0.232 0.113
O1 0.000 0.000 0.000
```

Peak list (12 most intense, 5 to 70 degrees two-theta, low angle first)
index, 2θ/deg, Rel. int.
1 0 1, 13.14, 100
1 1 0, 17.16, 11
1 1 4, 26.84, 27
2 1 1, 27.77, 19
1 0 5, 28.48, 13
2 0 4, 32.03, 29
2 2 0, 34.71, 53
3 1 4, 44.41, 12
3 2 1, 45.02, 12
4 0 0, 49.91, 16
2 2 8, 55.31, 19
4 0 8, 66.98, 13

Computed X-ray diffraction stick pattern
Compound: K2RuCl5O
Radiation: Cu Kα (λ = 1.5418 Å)
Structure: a cell relaxed with PBE
Lines closer than 0.1° are merged.

Cell and atoms:
```
data_K2RuCl5O
_symmetry_space_group_name_H-M 'I 4/m m m'
_symmetry_Int_Tables_number 139
_symmetry_space_group_name_Hall '-I 4 2'
_cell_length_a 7.326
_cell_length_b 7.326
_cell_length_c 17.276
_cell_angle_alpha 90.00
_cell_angle_beta 90.00
_cell_angle_gamma 90.00
loop_
_atom_site_label
_atom_site_fract_x
_atom_site_fract_y
_atom_site_fract_z
K1 0.000 0.500 0.000
K2 0.000 0.500 0.250
Ru1 0.000 0.000 0.104
Cl1 0.000 0.000 0.240
Cl2 0.231 0.231 0.112
O1 0.000 0.000 0.000
O2 0.000 0.000 0.500
```

Peak list (12 most intense, 5 to 70 degrees two-theta, low angle first)
index, 2θ/deg, Rel. int.
1 0 1, 13.13, 100
1 1 0, 17.12, 17
1 0 3, 19.61, 13
1 1 4, 26.88, 28
2 1 1, 27.71, 18
1 0 5, 28.56, 18
2 0 4, 32.04, 37
2 2 0, 34.63, 66
3 2 1, 44.92, 13
4 0 0, 49.78, 20
2 2 8, 55.41, 22
4 0 8, 67.03, 15

Computed X-ray diffraction stick pattern
Compound: K2RuCl5O
Radiation: Cu Kα (λ = 1.5418 Å)
Structure: a cell relaxed with PBE
Lines closer than 0.1° are merged.

Cell and atoms:
```
data_K2RuCl5O
_symmetry_space_group_name_H-M 'P n m a'
_symmetry_Int_Tables_number 62
_symmetry_space_group_name_Hall '-P 2ac 2n'
_cell_length_a 13.587
_cell_length_b 9.644
_cell_length_c 7.170
_cell_angle_alpha 90.00
_cell_angle_beta 90.00
_cell_angle_gamma 90.00
loop_
_atom_site_label
_atom_site_fract_x
_atom_site_fract_y
_atom_site_fract_z
K1 0.147 0.001 0.149
Ru1 0.095 0.750 0.673
Cl1 0.001 0.750 0.958
Cl2 0.107 0.506 0.688
Cl3 0.211 0.750 0.421
Cl4 0.243 0.750 0.884
O1 0.008 0.250 0.466
```

Peak list (12 most intense, 5 to 70 degrees two-theta, low angle first)
index, 2θ/deg, Rel. int.
0 1 1, 15.40, 100
2 1 0, 15.96, 98
2 0 1, 17.99, 35
2 2 1, 25.84, 25
4 0 1, 29.09, 30
0 3 1, 30.50, 20
3 0 2, 31.82, 89
4 2 0, 32.24, 34
4 0 2, 36.45, 28
0 4 0, 37.30, 57
5 1 2, 42.78, 28
3 4 2, 49.83, 29

Computed X-ray diffraction stick pattern
Compound: K3Sn2S3ClO3
Radiation: Cu Kα (λ = 1.5418 Å)
Structure: a cell relaxed with PBE
Lines closer than 0.1° are merged.

Cell and atoms:
```
data_K3Sn2S3ClO3
_symmetry_space_group_name_H-M 'P 1 21 1'
_symmetry_Int_Tables_number 4
_symmetry_space_group_name_Hall 'P 2yb'
_cell_length_a 9.370
_cell_length_b 7.229
_cell_length_c 9.635
_cell_angle_alpha 90.00
_cell_angle_beta 118.76
_cell_angle_gamma 90.00
loop_
_atom_site_label
_atom_site_fract_x
_atom_site_fract_y
_atom_site_fract_z
K1 0.021 0.000 0.254
K2 0.246 0.999 0.769
K3 0.340 0.775 0.166
Sn1 0.266 0.492 0.498
Sn2 0.353 0.271 0.172
S1 0.083 0.425 0.135
S2 0.381 0.444 0.951
S3 0.462 0.958 0.558
Cl1 0.003 0.267 0.494
O1 0.126 0.609 0.259
O2 0.284 0.638 0.892
O3 0.385 0.147 0.587
```

Peak list (12 most intense, 5 to 70 degrees two-theta, low angle first)
index, 2θ/deg, Rel. int.
0 1 1, 16.14, 23
1 1 0, 16.34, 75
1 1 -2, 22.15, 26
1 1 2, 30.72, 56
1 2 -2, 30.91, 100
2 2 -1, 31.26, 67
3 1 -1, 31.65, 57
0 0 3, 31.78, 39
3 0 0, 32.68, 28
3 0 -3, 32.87, 25
1 3 2, 47.32, 23
4 0 1, 50.52, 22

Computed X-ray diffraction stick pattern
Compound: K3Sn2S3ClO12
Radiation: Cu Kα (λ = 1.5418 Å)
Structure: a cell relaxed with PBE
Lines closer than 0.1° are merged.

Cell and atoms:
```
data_K3Sn2S3ClO12
_symmetry_space_group_name_H-M 'P 1 21 1'
_symmetry_Int_Tables_number 4
_symmetry_space_group_name_Hall 'P 2yb'
_cell_length_a 10.288
_cell_length_b 7.677
_cell_length_c 10.404
_cell_angle_alpha 90.00
_cell_angle_beta 119.22
_cell_angle_gamma 90.00
loop_
_atom_site_label
_atom_site_fract_x
_atom_site_fract_y
_atom_site_fract_z
K1 0.008 0.000 0.251
K2 0.321 0.256 0.668
K3 0.328 0.772 0.662
Sn1 0.233 0.465 0.255
Sn2 0.270 0.966 0.013
S1 0.043 0.511 0.404
S2 0.390 0.526 0.978
S3 0.407 0.025 0.373
Cl1 0.003 0.283 0.021
O1 0.096 0.663 0.352
O2 0.106 0.515 0.565
O3 0.108 0.351 0.365
O4 0.121 0.999 0.673
O5 0.281 0.383 0.927
O6 0.306 0.699 0.936
O7 0.330 0.007 0.460
O8 0.354 0.884 0.255
O9 0.370 0.197 0.293
O10 0.429 0.509 0.534
O11 0.475 0.518 0.892
O12 0.494 0.521 0.137
```

Peak list (12 most intense, 5 to 70 degrees two-theta, low angle first)
index, 2θ/deg, Rel. int.
1 1 -1, 15.22, 40
1 1 -2, 20.62, 22
0 2 0, 23.17, 50
1 1 2, 28.48, 34
1 1 -3, 28.60, 45
1 2 1, 28.82, 61
3 1 -2, 28.94, 100
2 2 -1, 29.03, 26
0 0 3, 29.51, 27
3 0 -3, 30.04, 22
2 2 -4, 41.96, 23
3 3 -2, 44.46, 21

What did the fifth record say?
Computed X-ray diffraction stick pattern
Compound: K3Sn2S3ClO12
Radiation: Cu Kα (λ = 1.5418 Å)
Structure: a cell relaxed with PBE
Lines closer than 0.1° are merged.

Cell and atoms:
```
data_K3Sn2S3ClO12
_symmetry_space_group_name_H-M 'P 1 21 1'
_symmetry_Int_Tables_number 4
_symmetry_space_group_name_Hall 'P 2yb'
_cell_length_a 10.288
_cell_length_b 7.677
_cell_length_c 10.404
_cell_angle_alpha 90.00
_cell_angle_beta 119.22
_cell_angle_gamma 90.00
loop_
_atom_site_label
_atom_site_fract_x
_atom_site_fract_y
_atom_site_fract_z
K1 0.008 0.000 0.251
K2 0.321 0.256 0.668
K3 0.328 0.772 0.662
Sn1 0.233 0.465 0.255
Sn2 0.270 0.966 0.013
S1 0.043 0.511 0.404
S2 0.390 0.526 0.978
S3 0.407 0.025 0.373
Cl1 0.003 0.283 0.021
O1 0.096 0.663 0.352
O2 0.106 0.515 0.565
O3 0.108 0.351 0.365
O4 0.121 0.999 0.673
O5 0.281 0.383 0.927
O6 0.306 0.699 0.936
O7 0.330 0.007 0.460
O8 0.354 0.884 0.255
O9 0.370 0.197 0.293
O10 0.429 0.509 0.534
O11 0.475 0.518 0.892
O12 0.494 0.521 0.137
```

Peak list (12 most intense, 5 to 70 degrees two-theta, low angle first)
index, 2θ/deg, Rel. int.
1 1 -1, 15.22, 40
1 1 -2, 20.62, 22
0 2 0, 23.17, 50
1 1 2, 28.48, 34
1 1 -3, 28.60, 45
1 2 1, 28.82, 61
3 1 -2, 28.94, 100
2 2 -1, 29.03, 26
0 0 3, 29.51, 27
3 0 -3, 30.04, 22
2 2 -4, 41.96, 23
3 3 -2, 44.46, 21